[1]
NaTmPd6O8: computed powder diffractogram (Cu Kα), based on the PBE geometry in Alexandria.
Kinematic intensities with the Lorentz-polarization factor, no thermal factor.

The 10 most intense peaks (2θ = 10–90°), by intensity:
2.603 Å, intensity 100
2.376 Å, intensity 62
1.556 Å, intensity 33
1.614 Å, intensity 24
5.820 Å, intensity 21
1.270 Å, intensity 20
1.455 Å, intensity 17
1.680 Å, intensity 13
2.910 Å, intensity 12
1.241 Å, intensity 8

Cell and atoms:
Lattice parameters (Å, degrees): 5.8203 5.8203 5.8203 90.00 90.00 90.00
Atoms (fractional coordinates):
Na  0.0000  0.0000  0.0000
Tm  0.5000  0.5000  0.5000
Pd  0.0000  0.2506  0.5000
Pd  0.0000  0.7494  0.5000
Pd  0.2506  0.5000  0.0000
Pd  0.5000  0.0000  0.2506
Pd  0.5000  0.0000  0.7494
Pd  0.7494  0.5000  0.0000
O  0.2624  0.2624  0.2624
O  0.2624  0.2624  0.7376
O  0.2624  0.7376  0.2624
O  0.2624  0.7376  0.7376
O  0.7376  0.2624  0.2624
O  0.7376  0.2624  0.7376
O  0.7376  0.7376  0.2624
O  0.7376  0.7376  0.7376


[2]
LaZnHg2: computed powder diffractogram (Cu Kα), based on the PBE geometry in Alexandria.
Kinematic intensities with the Lorentz-polarization factor, no thermal factor.

The 10 most intense peaks (2θ = 10–90°), by intensity:
2.818 Å, intensity 100
2.620 Å, intensity 62
3.303 Å, intensity 61
2.351 Å, intensity 51
2.163 Å, intensity 43
2.505 Å, intensity 36
1.714 Å, intensity 23
1.593 Å, intensity 20
2.012 Å, intensity 17
2.592 Å, intensity 16

Cell and atoms:
Lattice parameters (Å, degrees): 9.1107 9.1107 9.6191 90.00 90.00 150.09
Atoms (fractional coordinates):
La  0.0000  0.0000  0.0000
La  0.0000  0.0000  0.5000
La  0.2063  0.7937  0.7500
La  0.7937  0.2063  0.2500
Zn  0.3529  0.6471  0.0229
Zn  0.3529  0.6471  0.4771
Zn  0.6471  0.3529  0.5229
Zn  0.6471  0.3529  0.9771
Hg  0.1885  0.8115  0.0936
Hg  0.1885  0.8115  0.4064
Hg  0.4042  0.5958  0.7500
Hg  0.4364  0.5636  0.2500
Hg  0.5636  0.4364  0.7500
Hg  0.5958  0.4042  0.2500
Hg  0.8115  0.1885  0.5936
Hg  0.8115  0.1885  0.9064


[3]
Al3Ni5B2Pd2: computed powder diffractogram (Cu Kα), based on the PBE geometry in Alexandria.
Kinematic intensities with the Lorentz-polarization factor, no thermal factor.

The 10 most intense peaks (2θ = 10–90°), by intensity:
2.321 Å, intensity 100
2.092 Å, intensity 98
1.818 Å, intensity 98
2.501 Å, intensity 87
2.781 Å, intensity 64
2.001 Å, intensity 58
2.351 Å, intensity 42
3.591 Å, intensity 41
1.346 Å, intensity 30
1.286 Å, intensity 29

Cell and atoms:
Lattice parameters (Å, degrees): 11.0895 11.0895 11.0895 161.13 161.13 26.82
Atoms (fractional coordinates):
Al  0.0000  0.0000  0.0000
Al  0.1683  0.1683  0.0000
Al  0.8317  0.8317  0.0000
Ni  0.0827  0.5827  0.5000
Ni  0.4173  0.9173  0.5000
Ni  0.5000  0.5000  0.0000
Ni  0.5827  0.0827  0.5000
Ni  0.9173  0.4173  0.5000
B  0.3866  0.3866  0.0000
B  0.6134  0.6134  0.0000
Pd  0.2868  0.2868  0.0000
Pd  0.7132  0.7132  0.0000


[4]
BaSrAl4: computed powder diffractogram (Cu Kα), based on the PBE geometry in Alexandria.
Kinematic intensities with the Lorentz-polarization factor, no thermal factor.

The 10 most intense peaks (2θ = 10–90°), by intensity:
2.917 Å, intensity 100
2.880 Å, intensity 59
4.162 Å, intensity 46
2.843 Å, intensity 31
2.447 Å, intensity 28
4.089 Å, intensity 23
1.835 Å, intensity 22
1.522 Å, intensity 21
2.322 Å, intensity 21
2.510 Å, intensity 19

Cell and atoms:
Lattice parameters (Å, degrees): 4.8934 8.1772 7.9136 90.00 90.00 90.00
Atoms (fractional coordinates):
Ba  0.0000  0.0000  0.0000
Ba  0.5000  0.5000  0.5000
Sr  0.0000  0.5000  0.1117
Sr  0.5000  0.0000  0.6117
Al  0.0000  0.1772  0.4050
Al  0.0000  0.3246  0.7249
Al  0.0000  0.6754  0.7249
Al  0.0000  0.8228  0.4050
Al  0.5000  0.1754  0.2249
Al  0.5000  0.3228  0.9050
Al  0.5000  0.6772  0.9050
Al  0.5000  0.8246  0.2249


[5]
PrZn2Ru: computed powder diffractogram (Cu Kα), based on the PBE geometry in Alexandria.
Kinematic intensities with the Lorentz-polarization factor, no thermal factor.

The 10 most intense peaks (2θ = 10–90°), by intensity:
2.359 Å, intensity 100
2.504 Å, intensity 87
2.592 Å, intensity 74
2.608 Å, intensity 73
2.793 Å, intensity 59
3.515 Å, intensity 38
2.547 Å, intensity 38
2.088 Å, intensity 38
1.477 Å, intensity 24
2.157 Å, intensity 24

Cell and atoms:
Lattice parameters (Å, degrees): 15.5638 7.0293 5.7085 90.00 90.00 90.00
Atoms (fractional coordinates):
Pr  0.1020  0.2500  0.2139
Pr  0.1495  0.7500  0.4224
Pr  0.3505  0.2500  0.9224
Pr  0.3980  0.7500  0.7139
Pr  0.6020  0.2500  0.2861
Pr  0.6495  0.7500  0.0776
Pr  0.8505  0.2500  0.5776
Pr  0.8980  0.7500  0.7861
Zn  0.0457  0.0606  0.7278
Zn  0.0457  0.4394  0.7278
Zn  0.2018  0.5558  0.9012
Zn  0.2018  0.9442  0.9012
Zn  0.2982  0.0558  0.4012
Zn  0.2982  0.4442  0.4012
Zn  0.4543  0.5606  0.2278
Zn  0.4543  0.9394  0.2278
Zn  0.5457  0.0606  0.7722
Zn  0.5457  0.4394  0.7722
Zn  0.7018  0.5558  0.5988
Zn  0.7018  0.9442  0.5988
Zn  0.7982  0.0558  0.0988
Zn  0.7982  0.4442  0.0988
Zn  0.9543  0.5606  0.2722
Zn  0.9543  0.9394  0.2722
Ru  0.0611  0.7500  0.0006
Ru  0.1895  0.2500  0.6422
Ru  0.3105  0.7500  0.1422
Ru  0.4389  0.2500  0.5006
Ru  0.5611  0.7500  0.4994
Ru  0.6895  0.2500  0.8578
Ru  0.8105  0.7500  0.3578
Ru  0.9389  0.2500  0.9994


[6]
Np2Si3: computed powder diffractogram (Cu Kα), based on the PBE geometry in Alexandria.
Kinematic intensities with the Lorentz-polarization factor, no thermal factor.

The 10 most intense peaks (2θ = 10–90°), by intensity:
3.722 Å, intensity 100
2.322 Å, intensity 78
2.149 Å, intensity 40
1.577 Å, intensity 24
1.271 Å, intensity 24
1.741 Å, intensity 18
1.861 Å, intensity 16
2.972 Å, intensity 13
1.407 Å, intensity 13
1.222 Å, intensity 9

Cell and atoms:
Lattice parameters (Å, degrees): 4.2974 4.2974 5.9443 90.00 90.00 120.00
Atoms (fractional coordinates):
Np  0.0000  0.0000  0.2244
Np  0.0000  0.0000  0.7756
Si  0.3333  0.6667  0.5000
Si  0.6667  0.3333  0.0000
Si  0.6667  0.3333  0.5000